Entry 1:
Calculated PXRD pattern of Cs2Tm2MgW4O16 for Cu Kα X-rays, from a DFT-relaxed cell (PBE+U, Alexandria).

Structure:
```
Cs2Tm2MgW4O16
1.0
6.623 0.000 0.000
2.578 7.414 0.000
2.707 1.529 7.584
Cs Tm Mg W O
2 2 1 4 16
Cartesian
0.000 0.000 0.000 Cs
4.156 2.800 1.598 Cs
5.787 6.428 1.776 Tm
10.177 5.560 7.333 Tm
8.873 3.515 5.279 Mg
5.841 2.535 5.824 W
7.183 6.275 5.851 W
8.761 5.626 3.115 W
7.445 1.847 3.090 W
3.871 5.613 2.453 O
4.214 3.520 6.097 O
2.351 0.861 2.750 O
5.463 6.291 6.507 O
7.523 8.248 5.544 O
3.485 0.425 0.014 O
6.913 6.085 3.804 O
5.857 2.845 3.884 O
8.205 6.490 7.583 O
7.051 4.124 6.123 O
8.926 7.745 2.919 O
7.764 5.464 1.391 O
7.713 1.783 5.127 O
9.072 5.602 5.224 O
7.173 2.550 1.353 O
8.586 3.624 3.366 O
```

Top 12 peaks for 10 to 80 degrees two-theta, sorted by position:
two_theta  I_rel
16.20  51.0
24.23  100.0
24.50  39.3
24.99  56.5
25.12  78.6
29.59  93.1
30.52  75.6
30.95  81.6
31.33  53.4
32.71  84.5
34.39  54.6
46.32  58.6

Entry 2:
Calculated PXRD pattern of K2ErVO4 for Cu Kα X-rays, from a DFT-relaxed cell (PBE+U, Alexandria).

Structure:
```
K2ErVO4
1.0
-3.059 3.059 3.696
3.059 -3.059 3.696
3.059 3.059 -3.696
K Er V O
2 1 1 4
Cartesian
0.000 0.000 0.000 K
0.000 3.059 1.848 K
0.000 0.000 3.696 Er
3.059 0.000 1.848 V
1.590 2.184 -1.287 O
3.934 1.590 1.287 O
1.469 0.875 2.408 O
-0.875 1.469 4.983 O
```

Top 12 peaks for 10 to 80 degrees two-theta, sorted by position:
two_theta  I_rel
18.83  75.5
20.53  22.1
29.20  46.0
31.85  100.0
34.97  25.1
38.19  13.3
41.76  25.1
49.81  14.0
53.46  43.9
58.34  17.6
66.56  10.5
68.60  11.0